Entry 1:
For Mg2Ag2Au, a cell relaxed with PBE gives the theoretical powder diffractogram in this record (a wavelength of 1.5418 Å).
No peak broadening, texture or thermal motion is included.

Crystal structure
Lattice parameters (Å, degrees): 5.729 5.729 7.694 108.03 108.03 50.13
Fractional coordinates of all 10 atoms:
Mg1 0.118 0.694 0.547
Mg2 0.306 0.882 0.953
Mg3 0.694 0.118 0.047
Mg4 0.882 0.306 0.453
Ag1 0.094 0.501 0.848
Ag2 0.499 0.906 0.652
Ag3 0.501 0.094 0.348
Ag4 0.906 0.499 0.152
Au1 0.290 0.710 0.250
Au2 0.710 0.290 0.750

Main lines, most intense first (5° ≤ 2θ ≤ 70°):
2theta  d (Å)  I (rel.)
38.75  2.324  100
22.20  4.004  95
39.91  2.259  92
36.74  2.446  62
37.04  2.427  45
24.62  3.615  40
53.18  1.722  39
31.90  2.805  35



Entry 2:
For Sr2Pu3Pt4, a cell relaxed with PBE gives the theoretical powder diffractogram in this record (a wavelength of 1.5418 Å).
No peak broadening, texture or thermal motion is included.

Crystal structure
Lattice parameters (Å, degrees): 7.841 7.864 7.745 90.00 109.92 90.00
Fractional coordinates of all 18 atoms:
Sr1 0.187 0.174 0.065
Sr2 0.187 0.326 0.565
Sr3 0.813 0.674 0.435
Sr4 0.813 0.826 0.935
Pu1 0.249 0.664 0.247
Pu2 0.249 0.836 0.747
Pu3 0.500 0.000 0.500
Pu4 0.500 0.500 0.000
Pu5 0.751 0.164 0.253
Pu6 0.751 0.336 0.753
Pt1 0.090 0.546 0.864
Pt2 0.090 0.954 0.364
Pt3 0.494 0.630 0.629
Pt4 0.494 0.870 0.129
Pt5 0.506 0.130 0.871
Pt6 0.506 0.370 0.371
Pt7 0.910 0.046 0.636
Pt8 0.910 0.454 0.136

Main lines, most intense first (5° ≤ 2θ ≤ 70°):
2theta  d (Å)  I (rel.)
32.50  2.755  100
36.64  2.453  87
32.96  2.718  76
16.48  5.378  48
36.43  2.467  42
36.53  2.460  41
37.08  2.425  35
33.32  2.689  35